Starting from a structure optimized by DFT (GGA-PBE), the powder XRD pattern of Ca3CdP was simulated for Cu Kα, 1.54184 Å.

Main lines, in order of rising 2θ (10 to 90 degrees two-theta):
13.8 deg, rel. 64; 26.0 deg, rel. 45; 29.4 deg, rel. 50; 29.5 deg, rel. 100; 31.0 deg, rel. 42; 32.1 deg, rel. 93; 32.6 deg, rel. 60; 32.8 deg, rel. 42; 35.6 deg, rel. 46; 38.3 deg, rel. 34

Cell and atoms:
a b c (Å): 9.2942 9.2942 7.1244
angles (deg): 101.20 101.20 88.22
Atoms (fractional coordinates):
Ca: 0.0537 0.8085 0.9334
Ca: 0.1159 0.5422 0.3610
Ca: 0.1915 0.9463 0.5666
Ca: 0.2408 0.3556 0.8640
Ca: 0.3556 0.2408 0.3640
Ca: 0.4578 0.8841 0.1390
Ca: 0.5422 0.1159 0.8610
Ca: 0.6444 0.7592 0.6360
Ca: 0.7592 0.6444 0.1360
Ca: 0.8085 0.0537 0.4334
Ca: 0.8841 0.4578 0.6390
Ca: 0.9463 0.1915 0.0666
Cd: 0.3550 0.6450 0.7500
Cd: 0.4214 0.5786 0.2500
Cd: 0.5786 0.4214 0.7500
Cd: 0.6450 0.3550 0.2500
P: 0.0720 0.2395 0.4778
P: 0.2395 0.0720 0.9778
P: 0.7605 0.9280 0.0222
P: 0.9280 0.7605 0.5222